K4Sb: computed PXRD pattern (Cu Kα (weighted mean of Kα1 and Kα2)), based on DFT lattice parameters and positions (PBE).
No peak broadening, texture or thermal motion is included.

Peak list (10 most intense, 2θ = 15–90°, in order of rising 2θ)
(hkl)  2theta  I (rel.)
2 0 -2  17.24  58
1 1 -1  17.72  39
3 1 -2  23.77  30
2 0 2  26.52  46
5 1 -1  26.83  74
1 1 2  27.74  100
3 1 -3  30.36  40
0 2 0  31.23  43
3 1 2  34.43  41
2 2 2  41.40  34

Atomic structure:
Lattice parameters (Å, degrees): 20.5306 5.7285 10.2981 90.00 120.08 90.00
Space group Cm (No. 8)
Unique sites:
K: 0.0000 0.0000 0.0000
K: 0.9998 0.5000 0.4848
K: 0.1631 0.0000 0.6475
K: 0.1645 0.5000 0.9521
K: 0.1692 0.5000 0.3608
K: 0.3311 0.0000 0.0224
K: 0.3353 0.0000 0.6227
K: 0.3369 0.5000 0.3194
Sb: 0.2142 0.0000 0.2047
Sb: 0.2859 0.5000 0.7767


ScCd7: computed PXRD pattern (Cu Kα (weighted mean of Kα1 and Kα2)), based on DFT lattice parameters and positions (PBE).
No peak broadening, texture or thermal motion is included.

Peak list (10 most intense, 2θ = 15–90°, in order of rising 2θ)
(hkl)  2theta  I (rel.)
1 0 3  25.02  2
1 1 4  34.93  100
0 0 8  40.40  16
2 0 0  40.64  33
2 0 8  58.64  21
2 2 0  58.83  10
1 1 12  69.95  12
3 1 4  70.28  24
2 2 8  73.79  10
4 0 0  87.98  4

Atomic structure:
Lattice parameters (Å, degrees): 4.4401 4.4401 17.8617 90.00 90.00 90.00
Space group I4/mmm (No. 139)
Unique sites:
Sc: 0.0000 0.0000 0.0000
Cd: 0.0000 0.0000 0.2461
Cd: 0.0000 0.0000 0.5000
Cd: 0.0000 0.5000 0.1242


Tm2Be4Si3Os: computed PXRD pattern (Cu Kα (weighted mean of Kα1 and Kα2)), based on DFT lattice parameters and positions (PBE).
No peak broadening, texture or thermal motion is included.

Peak list (10 most intense, 2θ = 15–90°, in order of rising 2θ)
(hkl)  2theta  I (rel.)
1 0 1  25.33  94
1 1 1  34.94  23
0 0 4  36.17  82
1 1 2  38.41  100
2 0 0  48.42  32
1 0 5  52.08  25
2 1 1  55.42  23
2 0 4  61.90  44
1 1 6  66.56  18
3 1 2  83.63  22

Atomic structure:
Lattice parameters (Å, degrees): 3.7600 3.7600 9.9282 90.00 90.00 90.00
Space group P-4m2 (No. 115)
Unique sites:
Tm: 0.0000 0.5000 0.2474
Be: 0.0000 0.0000 0.0000
Be: 0.0000 0.5000 0.6380
Be: 0.5000 0.5000 0.0000
Si: 0.0000 0.5000 0.8669
Si: 0.5000 0.5000 0.5000
Os: 0.0000 0.0000 0.5000


OsBr6Cl: computed PXRD pattern (Cu Kα (weighted mean of Kα1 and Kα2)), based on DFT lattice parameters and positions (PBE).
No peak broadening, texture or thermal motion is included.

Peak list (10 most intense, 2θ = 15–90°, in order of rising 2θ)
(hkl)  2theta  I (rel.)
0 0 2  15.03  83
0 1 -1  15.19  100
1 -1 0  21.24  32
2 1 2  25.92  34
1 0 -3  26.88  44
0 2 -1  27.05  35
0 0 4  30.33  38
2 -1 1  33.50  34
2 3 1  35.91  29
4 2 2  47.80  30

Atomic structure:
Lattice parameters (Å, degrees): 7.7794 7.7878 11.9240 82.80 82.65 65.00
Space group P-1 (No. 2)
Unique sites:
Os: 0.0000 0.0000 0.0000
Os: 0.5000 0.5000 0.5000
Br: 0.0006 0.1221 0.7925
Br: 0.0839 0.2442 0.0578
Br: 0.2558 0.4164 0.4418
Br: 0.2905 0.8392 0.4716
Br: 0.3396 0.7897 0.9720
Br: 0.3749 0.5017 0.7073
Cl: 0.1955 0.3042 0.7499


CsSc4I7: computed PXRD pattern (Cu Kα (weighted mean of Kα1 and Kα2)), based on DFT lattice parameters and positions (PBE).
No peak broadening, texture or thermal motion is included.

Peak list (10 most intense, 2θ = 15–90°, in order of rising 2θ)
(hkl)  2theta  I (rel.)
1 1 1  20.10  11
0 0 2  22.95  34
1 4 1  25.51  100
2 0 0  32.29  28
0 8 0  32.45  28
2 0 2  40.11  22
1 4 -3  41.85  14
1 4 3  41.98  15
2 8 0  46.43  17
1 12 1  53.83  9

Atomic structure:
Lattice parameters (Å, degrees): 5.5445 22.0732 7.7494 90.00 90.28 90.00
Space group P2_1/m (No. 11)
Unique sites:
Cs: 0.2409 0.2500 0.3846
Sc: 0.2642 0.6120 0.1269
Sc: 0.2655 0.5042 0.8838
I: 0.2383 0.1204 0.7369
I: 0.2416 0.0101 0.2676
I: 0.2595 0.6356 0.7640
I: 0.2592 0.7500 0.2183


Ca4PmTe5: computed PXRD pattern (Cu Kα (weighted mean of Kα1 and Kα2)), based on DFT lattice parameters and positions (PBE).
No peak broadening, texture or thermal motion is included.

Peak list (10 most intense, 2θ = 15–90°, in order of rising 2θ)
(hkl)  2theta  I (rel.)
1 0 5  24.20  26
0 0 10  27.93  47
1 1 0  28.06  88
2 0 0  40.04  100
2 0 10  49.57  36
1 1 20  65.38  15
2 2 10  65.58  15
3 1 0  65.65  15
2 0 20  72.60  11
3 1 10  72.79  22

Atomic structure:
Lattice parameters (Å, degrees): 4.4975 4.4975 31.9440 90.00 90.00 90.00
Space group I4/mmm (No. 139)
Unique sites:
Ca: 0.0000 0.0000 0.0997
Ca: 0.0000 0.0000 0.2998
Pm: 0.0000 0.0000 0.5000
Te: 0.0000 0.0000 0.0000
Te: 0.0000 0.0000 0.1997
Te: 0.0000 0.0000 0.4002


Pm8Ag2Rh3: computed PXRD pattern (Cu Kα (weighted mean of Kα1 and Kα2)), based on DFT lattice parameters and positions (PBE).
No peak broadening, texture or thermal motion is included.

Peak list (10 most intense, 2θ = 15–90°, in order of rising 2θ)
(hkl)  2theta  I (rel.)
2 0 -2  24.44  8
1 1 1  25.13  17
1 1 -3  35.34  100
2 0 2  35.45  26
0 2 0  36.22  24
2 2 2  51.58  18
2 0 -6  62.86  8
1 1 5  63.58  18
1 3 -3  64.58  17
2 2 -6  74.75  10

Atomic structure:
Lattice parameters (Å, degrees): 8.8696 4.9607 8.8734 90.00 110.39 90.00
Space group P2/m (No. 10)
Unique sites:
Pm: 0.1143 0.0000 0.3843
Pm: 0.1377 0.5000 0.8704
Pm: 0.3687 0.5000 0.6371
Pm: 0.3841 0.0000 0.1172
Ag: 0.2444 0.5000 0.2556
Rh: 0.2461 0.0000 0.7463
Rh: 0.5000 0.5000 0.0000


Ce6HoPa2: computed PXRD pattern (Cu Kα (weighted mean of Kα1 and Kα2)), based on DFT lattice parameters and positions (PBE).
No peak broadening, texture or thermal motion is included.

Peak list (10 most intense, 2θ = 15–90°, in order of rising 2θ)
(hkl)  2theta  I (rel.)
1 0 1  20.71  62
1 0 3  31.27  22
0 0 4  33.01  42
1 1 1  34.27  68
1 1 2  37.24  100
2 -1 3  41.78  44
3 0 0  59.37  26
1 1 6  61.75  24
3 0 4  69.63  29
4 -2 2  72.20  15

Atomic structure:
Lattice parameters (Å, degrees): 5.3926 5.3926 10.8544 90.00 90.00 120.00
Space group P-31m (No. 162)
Unique sites:
Ce: 0.0000 0.3342 0.2648
Ho: 0.0000 0.0000 0.0000
Pa: 0.3333 0.6667 0.5000


TbTm4Mg2: computed PXRD pattern (Cu Kα (weighted mean of Kα1 and Kα2)), based on DFT lattice parameters and positions (PBE).
No peak broadening, texture or thermal motion is included.

Peak list (10 most intense, 2θ = 15–90°, in order of rising 2θ)
(hkl)  2theta  I (rel.)
0 6 1  30.39  74
1 7 0  31.57  100
0 8 1  33.45  43
0 14 0  36.64  32
1 1 1  36.94  78
1 13 1  50.95  39
1 15 1  55.01  18
2 6 1  62.08  20
1 7 2  63.41  27
1 21 2  86.97  15

Atomic structure:
Lattice parameters (Å, degrees): 3.4722 34.3401 3.4287 90.00 90.00 90.00
Space group Cmmm (No. 65)
Unique sites:
Tb: 0.0000 0.0000 0.0000
Tm: 0.0000 0.1456 0.0000
Tm: 0.0000 0.4257 0.5000
Mg: 0.0000 0.2874 0.5000


Sm12Er2Th: computed PXRD pattern (Cu Kα (weighted mean of Kα1 and Kα2)), based on DFT lattice parameters and positions (PBE).
No peak broadening, texture or thermal motion is included.

Peak list (10 most intense, 2θ = 15–90°, in order of rising 2θ)
(hkl)  2theta  I (rel.)
2 0 4  28.97  37
0 2 7  29.52  67
2 2 2  30.44  82
0 4 0  31.04  100
2 2 3  31.51  31
0 2 8  32.71  85
2 2 4  32.95  72
2 2 6  36.80  55
2 4 11  57.98  33
4 4 0  61.37  28

Atomic structure:
Lattice parameters (Å, degrees): 7.0968 11.5244 24.8950 90.00 90.00 90.00
Space group Cmme (No. 67)
Unique sites:
Sm: 0.0000 0.0014 0.0751
Sm: 0.0000 0.0228 0.5601
Sm: 0.2331 0.2500 0.4129
Sm: 0.2491 0.2500 0.8729
Sm: 0.2500 0.0000 0.2001
Sm: 0.2500 0.0000 0.3253
Er: 0.0000 0.2500 0.2662
Er: 0.0000 0.2500 0.7296
Th: 0.0000 0.2500 0.9993


Ba3SbSe4: computed PXRD pattern (Cu Kα (weighted mean of Kα1 and Kα2)), based on DFT lattice parameters and positions (PBE).
No peak broadening, texture or thermal motion is included.

Peak list (10 most intense, 2θ = 15–90°, in order of rising 2θ)
(hkl)  2theta  I (rel.)
1 2 1  23.45  24
2 0 0  26.81  73
0 0 2  26.94  67
0 4 0  27.69  65
2 0 2  38.37  51
2 4 0  38.96  100
2 4 2  47.97  53
2 8 0  64.27  21
4 4 2  69.70  17
2 8 2  70.97  15

Atomic structure:
Lattice parameters (Å, degrees): 6.6500 12.8886 6.6201 90.00 90.00 90.00
Space group Pmmn (No. 59, origin choice 2)
Unique sites:
Ba: 0.2500 0.0024 0.2505
Ba: 0.2500 0.2500 0.7452
Sb: 0.2500 0.7500 0.7305
Se: 0.2500 0.2500 0.2475
Se: 0.2500 0.5134 0.7508
Se: 0.2500 0.7500 0.3168


SrTm2O4: computed PXRD pattern (Cu Kα (weighted mean of Kα1 and Kα2)), based on DFT lattice parameters and positions (PBE).
No peak broadening, texture or thermal motion is included.

Peak list (10 most intense, 2θ = 15–90°, in order of rising 2θ)
(hkl)  2theta  I (rel.)
2 0 0  17.62  18
0 0 4  30.17  49
3 0 2  30.61  100
1 1 2  31.79  90
2 1 0  31.93  42
2 1 4  44.50  41
4 1 0  44.93  25
6 0 0  54.65  30
4 1 4  55.08  24
3 2 2  63.72  38

Atomic structure:
Lattice parameters (Å, degrees): 10.0694 3.3734 11.8478 90.00 90.00 90.00
Space group Pnma (No. 62)
Unique sites:
Sr: 0.2462 0.2500 0.1497
Tm: 0.0740 0.2500 0.3877
Tm: 0.0782 0.2500 0.8906
O: 0.0176 0.7500 0.7835
O: 0.0751 0.2500 0.5762
O: 0.1222 0.7500 0.0206
O: 0.2098 0.7500 0.3301